Diffraction record for MnCr2Ni3P6O24. The powder XRD pattern is theoretical, not measured: it uses a DFT-relaxed cell (PBE+U, Alexandria) and CuKα.
Kinematic intensities with the Lorentz-polarization factor, no thermal factor.

Structural model:
Cell lengths 8.378, 8.378, 8.378 Å; angles 61.50, 61.50, 61.50 degrees
Positions (direct):
Mn  0.000  0.000  0.000
Cr  0.356  0.356  0.356
Cr  0.856  0.856  0.856
Ni  0.214  0.214  0.214
Ni  0.500  0.500  0.500
Ni  0.716  0.716  0.716
P  0.111  0.400  0.809
P  0.311  0.911  0.608
P  0.400  0.809  0.111
P  0.608  0.311  0.911
P  0.809  0.111  0.400
P  0.911  0.608  0.311
O  0.037  0.241  0.851
O  0.109  0.906  0.776
O  0.121  0.466  0.271
O  0.214  0.338  0.947
O  0.241  0.851  0.037
O  0.248  0.432  0.597
O  0.271  0.121  0.466
O  0.338  0.947  0.214
O  0.351  0.760  0.529
O  0.432  0.597  0.248
O  0.465  0.872  0.676
O  0.466  0.271  0.121
O  0.529  0.351  0.760
O  0.595  0.822  0.948
O  0.597  0.248  0.432
O  0.676  0.465  0.872
O  0.760  0.529  0.351
O  0.776  0.109  0.906
O  0.822  0.948  0.595
O  0.851  0.037  0.241
O  0.872  0.676  0.465
O  0.906  0.776  0.109
O  0.947  0.214  0.338
O  0.948  0.595  0.822

Top 6 peaks for 2θ = 10–80°, sorted by position:
2θ/deg	intensity
20.74	92
24.60	100
33.77	67
36.33	44
48.39	35
50.44	26